PaTlAu2: computed powder diffraction line list (Cu Kα (λ = 1.5418 Å)), based on a crystal structure in the Materials Project, relaxed with GGA-PBE.
No peak broadening, texture or thermal motion is included.

Peak list (4 most intense, 10 to 80 degrees two-theta, by angle)
| 2theta | Rel. int. |
| --- | --- |
| 35.70 | 100 |
| 51.38 | 18 |
| 64.13 | 38 |
| 75.62 | 12 |

Structural model:
Unit cell a=5.0301 b=5.0301 c=5.0301 alpha=60.00 beta=60.00 gamma=60.00
Sites, in units of the cell vectors:
Pa  0.0000  0.0000  0.0000
Tl  0.5000  0.5000  0.5000
Au  0.2500  0.2500  0.2500
Au  0.7500  0.7500  0.7500